This entry pairs a crystal structure of CsTlSnPSe with its simulated PXRD pattern. Radiation: Cu Ka. Structure: a GGA-PBE-relaxed structure.
Intensities are scaled so that the largest is 1000.

Principal peaks in the range 2θ = 10–90°, by intensity:
2θ = 25.27°, I = 1000, hkl 3 1 0
2θ = 25.75°, I = 900, hkl 1 1 1
2θ = 31.61°, I = 633, hkl 0 2 0
2θ = 24.59°, I = 492, hkl 1 1 -1
2θ = 30.02°, I = 428, hkl 3 1 -1
2θ = 34.19°, I = 328, hkl 4 0 1
2θ = 37.40°, I = 317, hkl 0 0 2
2θ = 21.38°, I = 290, hkl 2 0 -1
2θ = 49.75°, I = 281, hkl 0 2 2
2θ = 30.50°, I = 267, hkl 4 0 -1

```
data_CsTlSnPSe
_cell_length_a 13.6039
_cell_length_b 5.6607
_cell_length_c 4.8431
_cell_angle_alpha 90.00
_cell_angle_beta 96.76
_cell_angle_gamma 90.00
_space_group_name_H-M_alt 'C 1 m 1'
_space_group_IT_number 8
_space_group_name_Hall 'C -2y'
loop_
_atom_site_label
_atom_site_type_symbol
_atom_site_fract_x
_atom_site_fract_y
_atom_site_fract_z
Cs1 Cs 0.0000 0.0000 0.0000
Tl1 Tl 0.1998 0.5000 0.0536
Sn1 Sn 0.3492 0.0000 0.4644
P1 P 0.2830 0.0000 0.9343
Se1 Se 0.0418 0.5000 0.5133
```

---

This entry pairs a crystal structure of CsTaPSe6 with its simulated PXRD pattern. Radiation: Cu Ka. Structure: a GGA-PBE-relaxed structure.
Intensities are scaled so that the largest is 1000.

Principal peaks in the range 2θ = 10–90°, by intensity:
2θ = 19.02°, I = 1000, hkl 1 0 1
2θ = 34.90°, I = 823, hkl 2 -1 2
2θ = 10.28°, I = 748, hkl 0 0 1
2θ = 29.74°, I = 464, hkl 1 1 1
2θ = 51.13°, I = 265, hkl 1 1 4
2θ = 49.23°, I = 252, hkl 3 0 0
2θ = 44.43°, I = 249, hkl 3 -1 1
2θ = 45.47°, I = 196, hkl 2 0 3
2θ = 61.13°, I = 189, hkl 3 1 1
2θ = 61.75°, I = 161, hkl 2 2 2

```
data_CsTaPSe6
_cell_length_a 6.4121
_cell_length_b 6.4121
_cell_length_c 8.6051
_cell_angle_alpha 90.00
_cell_angle_beta 90.00
_cell_angle_gamma 120.00
_space_group_name_H-M_alt 'P 3 1 2'
_space_group_IT_number 149
_space_group_name_Hall 'P 3 2'
loop_
_atom_site_label
_atom_site_type_symbol
_atom_site_fract_x
_atom_site_fract_y
_atom_site_fract_z
Cs1 Cs 0.0000 0.0000 0.0000
Ta1 Ta 0.3333 0.6667 0.5000
P1 P 0.6667 0.3333 0.5000
Se1 Se 0.3800 0.0124 0.6716
```

---

This entry pairs a crystal structure of CsSnP with its simulated PXRD pattern. Radiation: Cu Ka. Structure: a GGA-PBE-relaxed structure.
Intensities are scaled so that the largest is 1000.

Principal peaks in the range 2θ = 10–90°, by intensity:
2θ = 27.93°, I = 1000, hkl 1 0 1
2θ = 43.65°, I = 241, hkl 1 1 0
2θ = 25.49°, I = 234, hkl 0 0 2
2θ = 46.46°, I = 231, hkl 1 0 3
2θ = 35.85°, I = 227, hkl 0 1 2
2θ = 51.22°, I = 211, hkl 1 1 2
2θ = 52.62°, I = 172, hkl 0 2 1
2θ = 70.69°, I = 146, hkl 2 1 1
2θ = 24.79°, I = 121, hkl 1 0 0
2θ = 82.18°, I = 93, hkl 2 1 3

```
data_CsSnP
_cell_length_a 4.1473
_cell_length_b 4.1473
_cell_length_c 6.9901
_cell_angle_alpha 90.00
_cell_angle_beta 90.00
_cell_angle_gamma 120.00
_space_group_name_H-M_alt 'P 3 m 1'
_space_group_IT_number 156
_space_group_name_Hall 'P 3 -2"'
loop_
_atom_site_label
_atom_site_type_symbol
_atom_site_fract_x
_atom_site_fract_y
_atom_site_fract_z
Cs1 Cs 0.0000 0.0000 0.0000
Sn1 Sn 0.3333 0.6667 0.5335
P1 P 0.6667 0.3333 0.3554
```

---

This entry pairs a crystal structure of CsTaP2 with its simulated PXRD pattern. Radiation: Cu Ka. Structure: a GGA-PBE-relaxed structure.
Intensities are scaled so that the largest is 1000.

Principal peaks in the range 2θ = 10–90°, by intensity:
2θ = 23.95°, I = 1000, hkl 1 1 2
2θ = 42.41°, I = 436, hkl 3 1 2
2θ = 24.19°, I = 428, hkl 2 0 0
2θ = 41.98°, I = 248, hkl 2 0 4
2θ = 49.03°, I = 169, hkl 2 2 4
2θ = 34.47°, I = 160, hkl 2 2 0
2θ = 14.65°, I = 125, hkl 1 0 1
2θ = 55.87°, I = 117, hkl 4 2 0
2θ = 66.38°, I = 117, hkl 3 1 6
2θ = 67.22°, I = 113, hkl 5 1 2

```
data_CsTaP2
_cell_length_a 7.3598
_cell_length_b 7.3598
_cell_length_c 10.6130
_cell_angle_alpha 90.00
_cell_angle_beta 90.00
_cell_angle_gamma 90.00
_space_group_name_H-M_alt 'I -4 2 d'
_space_group_IT_number 122
_space_group_name_Hall 'I -4 2bw'
loop_
_atom_site_label
_atom_site_type_symbol
_atom_site_fract_x
_atom_site_fract_y
_atom_site_fract_z
Cs1 Cs 0.0000 0.0000 0.0000
Ta1 Ta 0.0000 0.0000 0.5000
P1 P 0.0875 0.2500 0.6250
```